For CeN2Cl5, a structure optimized by DFT (PBE) gives the theoretical powder XRD pattern in this record (CuKα).
No peak broadening, texture or thermal motion is included.

```
CeN2Cl5
1.0
11.6374 0.0000 0.0000
0.0000 8.4652 0.0000
0.0000 0.0000 10.0850
Ce N Cl
4 8 20
Direct
0.0121 0.2500 0.0240 Ce
0.4879 0.7500 0.5240 Ce
0.5121 0.2500 0.4760 Ce
0.9879 0.7500 0.9760 Ce
0.0948 0.0856 0.4835 N
0.0948 0.4144 0.4835 N
0.4052 0.5856 0.9835 N
0.4052 0.9144 0.9835 N
0.5948 0.0856 0.0165 N
0.5948 0.4144 0.0165 N
0.9052 0.5856 0.5165 N
0.9052 0.9144 0.5165 N
0.0401 0.2500 0.4866 Cl
0.0825 0.5295 0.1396 Cl
0.0825 0.9705 0.1396 Cl
0.1494 0.7500 0.8077 Cl
0.1982 0.2500 0.8990 Cl
0.3018 0.7500 0.3990 Cl
0.3506 0.2500 0.3077 Cl
0.4175 0.0295 0.6396 Cl
0.4175 0.4705 0.6396 Cl
0.4599 0.7500 0.9866 Cl
0.5401 0.2500 0.0134 Cl
0.5825 0.5295 0.3604 Cl
0.5825 0.9705 0.3604 Cl
0.6494 0.7500 0.6923 Cl
0.6982 0.2500 0.6010 Cl
0.8018 0.7500 0.1010 Cl
0.8506 0.2500 0.1923 Cl
0.9175 0.0295 0.8604 Cl
0.9175 0.4705 0.8604 Cl
0.9599 0.7500 0.5134 Cl
```

Peak list (8 most intense, 10 to 90 degrees two-theta, in order of rising 2θ)
11.6 deg, intensity 100.0, (1 0 1); 15.2 deg, intensity 49.9, (2 0 0); 17.6 deg, intensity 32.3, (0 0 2); 21.0 deg, intensity 20.6, (0 2 0); 23.3 deg, intensity 31.7, (2 0 2); 27.5 deg, intensity 29.0, (0 2 2); 31.6 deg, intensity 27.9, (2 2 2); 41.7 deg, intensity 21.7, (4 2 2)